Simulated powder XRD pattern of SrCa3Mn2O8 for λ = 1.5418 Å (Cu Kα), from a crystal structure in Alexandria, relaxed with GGA+U.

The 8 most intense peaks (2θ = 5–70°), by angle:
Position (°2θ)  Rel. int.
14.70  35.0
32.46  100.0
33.41  84.7
44.53  20.9
45.13  23.1
47.98  54.0
59.12  35.0
67.98  22.5

a b c (Å): 3.7926 3.7926 12.0539
angles (deg): 90.00 90.00 90.00
Fractional coordinates of all 14 atoms:
Sr (0.0000, 0.0000, 0.0000)
Ca (0.0000, 0.0000, 0.7080)
Ca (0.5000, 0.5000, 0.2148)
Ca (0.5000, 0.5000, 0.5006)
Mn (0.0000, 0.0000, 0.3591)
Mn (0.5000, 0.5000, 0.8493)
O (0.0000, 0.0000, 0.1991)
O (0.0000, 0.0000, 0.5196)
O (0.0000, 0.5000, 0.3579)
O (0.0000, 0.5000, 0.8464)
O (0.5000, 0.0000, 0.3579)
O (0.5000, 0.0000, 0.8464)
O (0.5000, 0.5000, 0.0156)
O (0.5000, 0.5000, 0.6886)